(1)
Computed powder diffraction line list
Compound: CaAcGa2Cu2
Radiation: λ = 1.5418 Å (Cu Kα)
Structure: a crystal structure in Alexandria, relaxed with PBE
Kinematic intensities with the Lorentz-polarization factor, no thermal factor.

```
CaAcGa2Cu2
1.0
4.3268 0.0000 0.0000
-2.1634 3.7471 0.0000
0.0000 0.0000 8.5211
Ca Ac Ga Cu
1 1 2 2
Direct
0.0000 0.0000 0.0000 Ca
0.0000 0.0000 0.5000 Ac
0.3333 0.6667 0.2368 Ga
0.6667 0.3333 0.7632 Ga
0.3333 0.6667 0.7683 Cu
0.6667 0.3333 0.2317 Cu
```

Peak list (6 most intense, 10 to 90 degrees two-theta, sorted by position)
2θ (°)	I/Imax
10.4	27
26.0	37
31.8	100
41.8	44
53.4	23
61.0	26



(2)
Computed powder diffraction line list
Compound: CaAc2CuO5
Radiation: λ = 1.5418 Å (Cu Kα)
Structure: a crystal structure in Alexandria, relaxed with PBE
Kinematic intensities with the Lorentz-polarization factor, no thermal factor.

```
CaAc2CuO5
1.0
7.0051 0.0000 0.0000
0.0000 7.0051 0.0000
0.0000 0.0000 5.8763
Ca Ac Cu O
2 4 2 10
Direct
0.0000 0.0000 0.0000 Ca
0.5000 0.5000 0.0000 Ca
0.1730 0.3270 0.5000 Ac
0.3270 0.8270 0.5000 Ac
0.6730 0.1730 0.5000 Ac
0.8270 0.6730 0.5000 Ac
0.0000 0.5000 0.0000 Cu
0.5000 0.0000 0.0000 Cu
0.0000 0.0000 0.5000 O
0.1422 0.6422 0.2297 O
0.1422 0.6422 0.7703 O
0.3578 0.1422 0.2297 O
0.3578 0.1422 0.7703 O
0.5000 0.5000 0.5000 O
0.6422 0.8578 0.2297 O
0.6422 0.8578 0.7703 O
0.8578 0.3578 0.2297 O
0.8578 0.3578 0.7703 O
```

Peak list (6 most intense, 10 to 90 degrees two-theta, sorted by position)
2θ (°)	I/Imax
15.1	79
28.5	46
29.7	69
30.4	35
32.4	100
42.2	62



(3)
Computed powder diffraction line list
Compound: CaAc2Cu2O6
Radiation: λ = 1.5418 Å (Cu Kα)
Structure: a crystal structure in Alexandria, relaxed with PBE
Kinematic intensities with the Lorentz-polarization factor, no thermal factor.

```
CaAc2Cu2O6
1.0
2.9622 1.7102 5.8248
-2.9622 1.7102 5.8248
0.0000 -3.4204 5.8248
Ca Ac Cu O
1 2 2 6
Direct
0.0000 0.0000 0.0000 Ca
0.2068 0.2068 0.2068 Ac
0.7932 0.7932 0.7932 Ac
0.4244 0.4244 0.4244 Cu
0.5756 0.5756 0.5756 Cu
0.2090 0.7495 0.7495 O
0.2505 0.2505 0.7910 O
0.2505 0.7910 0.2505 O
0.7495 0.2090 0.7495 O
0.7495 0.7495 0.2090 O
0.7910 0.2505 0.2505 O
```

Peak list (6 most intense, 10 to 90 degrees two-theta, sorted by position)
2θ (°)	I/Imax
15.2	51
30.2	100
31.0	81
34.0	35
43.8	39
54.1	38



(4)
Computed powder diffraction line list
Compound: CaAcCuPd
Radiation: λ = 1.5418 Å (Cu Kα)
Structure: a crystal structure in Alexandria, relaxed with PBE
Kinematic intensities with the Lorentz-polarization factor, no thermal factor.

```
CaAcCuPd
1.0
4.4725 0.0000 0.0000
0.0000 2.1050 5.6027
0.0000 -2.1050 5.6027
Ca Ac Cu Pd
1 1 1 1
Direct
0.0000 0.0000 0.0000 Ca
0.5000 0.7219 0.7219 Ac
0.0000 0.2964 0.2964 Cu
0.5000 0.4335 0.4335 Pd
```

Peak list (6 most intense, 10 to 90 degrees two-theta, sorted by position)
2θ (°)	I/Imax
15.8	29
19.9	35
30.2	91
32.0	64
37.9	100
52.4	32



(5)
Computed powder diffraction line list
Compound: CaAc4Dy2
Radiation: λ = 1.5418 Å (Cu Kα)
Structure: a crystal structure in Alexandria, relaxed with PBE
Kinematic intensities with the Lorentz-polarization factor, no thermal factor.

```
CaAc4Dy2
1.0
1.9166 -8.5248 0.0000
1.9166 8.5248 0.0000
0.0000 0.0000 17.9444
Ca Ac Dy
2 8 4
Direct
0.0226 0.9774 0.7500 Ca
0.9774 0.0226 0.2500 Ca
0.0000 0.0000 0.0000 Ac
0.0000 0.0000 0.5000 Ac
0.2880 0.7120 0.2500 Ac
0.3572 0.6428 0.6361 Ac
0.3572 0.6428 0.8639 Ac
0.6428 0.3572 0.1361 Ac
0.6428 0.3572 0.3639 Ac
0.7120 0.2880 0.7500 Ac
0.3156 0.6844 0.0583 Dy
0.3156 0.6844 0.4417 Dy
0.6844 0.3156 0.5583 Dy
0.6844 0.3156 0.9417 Dy
```

Peak list (6 most intense, 10 to 90 degrees two-theta, sorted by position)
2θ (°)	I/Imax
27.0	47
28.1	100
28.9	43
31.1	26
34.6	60
48.7	30



(6)
Computed powder diffraction line list
Compound: CaAc14Dy
Radiation: λ = 1.5418 Å (Cu Kα)
Structure: a crystal structure in Alexandria, relaxed with PBE
Kinematic intensities with the Lorentz-polarization factor, no thermal factor.

```
CaAc14Dy
1.0
11.1952 0.0000 0.0000
0.0000 5.6058 5.6033
0.0000 -5.6058 5.6033
Ca Ac Dy
1 14 1
Direct
0.0000 0.0000 0.0000 Ca
0.0000 0.5008 0.9993 Ac
0.0000 0.9993 0.5008 Ac
0.2466 0.2533 0.2533 Ac
0.2474 0.2535 0.7466 Ac
0.2474 0.7466 0.2535 Ac
0.2482 0.7466 0.7466 Ac
0.5000 0.0000 0.0000 Ac
0.5000 0.0005 0.4992 Ac
0.5000 0.4992 0.0005 Ac
0.5000 0.4997 0.4997 Ac
0.7518 0.7466 0.7466 Ac
0.7534 0.2533 0.2533 Ac
0.7526 0.2535 0.7466 Ac
0.7526 0.7466 0.2535 Ac
0.0000 0.5004 0.5004 Dy
```

Peak list (6 most intense, 10 to 90 degrees two-theta, sorted by position)
2θ (°)	I/Imax
27.6	100
31.9	52
45.8	39
54.3	47
73.7	19
76.0	15



(7)
Computed powder diffraction line list
Compound: CaAc6Dy
Radiation: λ = 1.5418 Å (Cu Kα)
Structure: a crystal structure in Alexandria, relaxed with PBE
Kinematic intensities with the Lorentz-polarization factor, no thermal factor.

```
CaAc6Dy
1.0
5.5447 0.0000 0.0000
0.0000 5.5447 0.0000
0.0000 0.0000 11.0845
Ca Ac Dy
1 6 1
Direct
0.0000 0.0000 0.0000 Ca
0.0000 0.5000 0.2566 Ac
0.0000 0.5000 0.7434 Ac
0.5000 0.0000 0.2566 Ac
0.5000 0.0000 0.7434 Ac
0.5000 0.5000 0.0000 Ac
0.5000 0.5000 0.5000 Ac
0.0000 0.0000 0.5000 Dy
```

Peak list (6 most intense, 10 to 90 degrees two-theta, sorted by position)
2θ (°)	I/Imax
27.9	100
32.3	51
46.3	38
54.9	47
74.6	19
76.9	17



(8)
Computed powder diffraction line list
Compound: CaAcDy2In4
Radiation: λ = 1.5418 Å (Cu Kα)
Structure: a crystal structure in Alexandria, relaxed with PBE
Kinematic intensities with the Lorentz-polarization factor, no thermal factor.

```
CaAcDy2In4
1.0
2.7337 1.5783 9.0481
-2.7337 1.5783 9.0481
0.0000 -3.1565 9.0481
Ca Ac Dy In
1 1 2 4
Direct
0.0000 0.0000 0.0000 Ca
0.5000 0.5000 0.5000 Ac
0.2524 0.2524 0.2524 Dy
0.7476 0.7476 0.7476 Dy
0.1218 0.1218 0.1218 In
0.3724 0.3724 0.3724 In
0.6276 0.6276 0.6276 In
0.8782 0.8782 0.8782 In
```

Peak list (6 most intense, 10 to 90 degrees two-theta, sorted by position)
2θ (°)	I/Imax
32.5	100
32.8	99
46.8	36
57.7	18
58.3	37
58.5	19



(9)
Computed powder diffraction line list
Compound: CaAc2DySe5
Radiation: λ = 1.5418 Å (Cu Kα)
Structure: a crystal structure in Alexandria, relaxed with PBE
Kinematic intensities with the Lorentz-polarization factor, no thermal factor.

```
CaAc2DySe5
1.0
5.1832 0.0000 0.0000
0.0000 5.1832 0.0000
0.0000 0.0000 10.9440
Ca Ac Dy Se
1 2 1 5
Direct
0.0000 0.0000 0.0000 Ca
0.5000 0.5000 0.2917 Ac
0.5000 0.5000 0.7083 Ac
0.0000 0.0000 0.5000 Dy
0.0000 0.0000 0.2454 Se
0.0000 0.0000 0.7546 Se
0.0000 0.5000 0.5000 Se
0.5000 0.0000 0.5000 Se
0.5000 0.5000 0.0000 Se
```

Peak list (6 most intense, 10 to 90 degrees two-theta, sorted by position)
2θ (°)	I/Imax
23.6	43
24.3	90
29.3	37
30.0	56
34.6	100
48.4	41



(10)
Computed powder diffraction line list
Compound: Ca2Ac5Er
Radiation: λ = 1.5418 Å (Cu Kα)
Structure: a crystal structure in Alexandria, relaxed with PBE
Kinematic intensities with the Lorentz-polarization factor, no thermal factor.

```
Ca2Ac5Er
1.0
-2.7529 2.7529 11.1631
2.7529 -2.7529 11.1631
2.7529 2.7529 -11.1631
Ca Ac Er
2 5 1
Direct
0.2492 0.2492 0.0000 Ca
0.7508 0.7508 0.0000 Ca
0.0000 0.0000 0.0000 Ac
0.1205 0.6205 0.5000 Ac
0.3795 0.8795 0.5000 Ac
0.6205 0.1205 0.5000 Ac
0.8795 0.3795 0.5000 Ac
0.5000 0.5000 0.0000 Er
```

Peak list (6 most intense, 10 to 90 degrees two-theta, sorted by position)
2θ (°)	I/Imax
27.9	100
32.1	17
32.5	34
46.3	25
54.7	15
55.3	31



(11)
Computed powder diffraction line list
Compound: CaAc4Eu
Radiation: λ = 1.5418 Å (Cu Kα)
Structure: a crystal structure in Alexandria, relaxed with PBE
Kinematic intensities with the Lorentz-polarization factor, no thermal factor.

```
CaAc4Eu
1.0
0.0000 5.2475 5.2475
5.2475 0.0000 5.2475
5.2475 5.2475 0.0000
Ca Ac Eu
1 4 1
Direct
0.0000 0.0000 0.0000 Ca
0.1245 0.6252 0.6252 Ac
0.6252 0.1245 0.6252 Ac
0.6252 0.6252 0.1245 Ac
0.6252 0.6252 0.6252 Ac
0.2500 0.2500 0.2500 Eu
```

Peak list (6 most intense, 10 to 90 degrees two-theta, sorted by position)
2θ (°)	I/Imax
14.6	43
28.2	100
29.5	69
44.9	38
49.1	38
58.3	32



(12)
Computed powder diffraction line list
Compound: Ca2AcFeN4
Radiation: λ = 1.5418 Å (Cu Kα)
Structure: a crystal structure in Alexandria, relaxed with PBE
Kinematic intensities with the Lorentz-polarization factor, no thermal factor.

```
Ca2AcFeN4
1.0
1.7344 -5.9149 0.0000
1.7344 5.9149 0.0000
0.0000 0.0000 11.7902
Ca Ac Fe N
4 2 2 8
Direct
0.1293 0.8707 0.5413 Ca
0.1293 0.8707 0.9587 Ca
0.8707 0.1293 0.0413 Ca
0.8707 0.1293 0.4587 Ca
0.4127 0.5873 0.7500 Ac
0.5873 0.4127 0.2500 Ac
0.3193 0.6807 0.2500 Fe
0.6807 0.3193 0.7500 Fe
0.1052 0.8948 0.7500 N
0.2281 0.7719 0.1365 N
0.2281 0.7719 0.3635 N
0.5000 0.5000 0.0000 N
0.5000 0.5000 0.5000 N
0.7719 0.2281 0.6365 N
0.7719 0.2281 0.8635 N
0.8948 0.1052 0.2500 N
```

Peak list (6 most intense, 10 to 90 degrees two-theta, sorted by position)
2θ (°)	I/Imax
15.0	100
16.8	47
27.2	41
30.3	45
30.8	93
35.3	92



(13)
Computed powder diffraction line list
Compound: CaAc2Ga6
Radiation: λ = 1.5418 Å (Cu Kα)
Structure: a crystal structure in Alexandria, relaxed with PBE
Kinematic intensities with the Lorentz-polarization factor, no thermal factor.

```
CaAc2Ga6
1.0
7.5549 0.0000 0.0000
-3.7774 6.5427 0.0000
0.0000 0.0000 4.6398
Ca Ac Ga
1 2 6
Direct
0.0000 0.0000 0.0000 Ca
0.3333 0.6667 0.0000 Ac
0.6667 0.3333 0.0000 Ac
0.0000 0.3317 0.5000 Ga
0.0000 0.6683 0.5000 Ga
0.3317 0.0000 0.5000 Ga
0.3317 0.3317 0.5000 Ga
0.6683 0.0000 0.5000 Ga
0.6683 0.6683 0.5000 Ga
```

Peak list (6 most intense, 10 to 90 degrees two-theta, sorted by position)
2θ (°)	I/Imax
13.5	20
23.5	25
30.5	100
41.4	38
52.3	22
58.0	28



(14)
Computed powder diffraction line list
Compound: CaAc3Ga
Radiation: λ = 1.5418 Å (Cu Kα)
Structure: a crystal structure in Alexandria, relaxed with PBE
Kinematic intensities with the Lorentz-polarization factor, no thermal factor.

```
CaAc3Ga
1.0
6.4013 -4.8570 0.0000
6.4013 4.8570 0.0000
-5.2199 0.0000 6.6430
Ca Ac Ga
2 6 2
Direct
0.0659 0.0659 0.2534 Ca
0.9341 0.9341 0.7466 Ca
0.0078 0.4104 0.7438 Ac
0.4104 0.0078 0.7438 Ac
0.4598 0.4598 0.6866 Ac
0.5402 0.5402 0.3134 Ac
0.5896 0.9922 0.2562 Ac
0.9922 0.5896 0.2562 Ac
0.2327 0.2327 0.0858 Ga
0.7673 0.7673 0.9142 Ga
```

Peak list (6 most intense, 10 to 90 degrees two-theta, sorted by position)
2θ (°)	I/Imax
25.5	78
26.8	58
28.0	100
29.2	44
29.5	48
33.7	39